Calculated XRD peak list of Tb7SmTm4 for CuKα, from a structure optimized by DFT (PBE).
Kinematic intensities with the Lorentz-polarization factor, no thermal factor.

Cell: 6.1849 7.1451 8.7945 Å, 89.99 76.28 89.93°
Positions (direct):
Tb 0.0000 0.0000 0.0000
Tb 0.2221 0.5005 0.3348
Tb 0.2797 0.2483 0.6644
Tb 0.5004 0.2480 0.0005
Tb 0.4996 0.7520 0.9995
Tb 0.7203 0.7517 0.3356
Tb 0.7779 0.4995 0.6652
Sm 0.0000 0.5000 0.0000
Tm 0.2202 0.0003 0.3352
Tm 0.2787 0.7516 0.6652
Tm 0.7213 0.2484 0.3348
Tm 0.7798 0.9997 0.6648

Peak list (8 most intense, 2θ = 10–80°, in order of falling intensity)
2.786 Å, I 100; 2.648 Å, I 90; 2.848 Å, I 51; 1.786 Å, I 39; 3.071 Å, I 37; 1.514 Å, I 30; 3.007 Å, I 17; 1.481 Å, I 15

***

Calculated XRD peak list of Tb5Sm2Tm5 for CuKα, from a structure optimized by DFT (PBE).
Kinematic intensities with the Lorentz-polarization factor, no thermal factor.

Cell: 7.9171 7.9171 11.1994 Å, 115.08 115.08 36.82°
Positions (direct):
Tb 0.0000 0.0000 0.0000
Tb 0.0846 0.0846 0.7505
Tb 0.1661 0.1661 0.4995
Tb 0.8339 0.8339 0.5005
Tb 0.9154 0.9154 0.2495
Sm 0.4169 0.4169 0.7514
Sm 0.5831 0.5831 0.2486
Tm 0.2506 0.2506 0.2496
Tm 0.3319 0.3319 0.9996
Tm 0.5000 0.5000 0.5000
Tm 0.6681 0.6681 0.0004
Tm 0.7494 0.7494 0.7504

Peak list (8 most intense, 2θ = 10–80°, in order of falling intensity)
2.890 Å, I 100; 2.503 Å, I 51; 1.770 Å, I 36; 1.510 Å, I 36; 1.445 Å, I 12; 1.508 Å, I 7; 1.252 Å, I 4; 1.250 Å, I 2

***

Calculated XRD peak list of Tb5Sm4Tm3 for CuKα, from a structure optimized by DFT (PBE).
Kinematic intensities with the Lorentz-polarization factor, no thermal factor.

Cell: 8.5787 8.5787 9.3154 Å, 114.94 114.94 40.18°
Positions (direct):
Tb 0.0000 0.0000 0.0000
Tb 0.3278 0.3278 0.6147
Tb 0.4274 0.4274 0.2969
Tb 0.5726 0.5726 0.7031
Tb 0.6722 0.6722 0.3853
Sm 0.0825 0.0825 0.4432
Sm 0.2161 0.2161 0.8798
Sm 0.7839 0.7839 0.1202
Sm 0.9175 0.9175 0.5568
Tm 0.2107 0.2107 0.2328
Tm 0.5000 0.5000 0.0000
Tm 0.7893 0.7893 0.7672

Peak list (8 most intense, 2θ = 10–80°, in order of falling intensity)
2.947 Å, I 100; 2.750 Å, I 77; 2.663 Å, I 65; 2.813 Å, I 49; 2.868 Å, I 41; 3.060 Å, I 38; 2.055 Å, I 33; 3.027 Å, I 32

***

Calculated XRD peak list of TbSm4Y2Tm2 for CuKα, from a structure optimized by DFT (PBE).
Kinematic intensities with the Lorentz-polarization factor, no thermal factor.

Cell: 8.0012 8.0012 8.0026 Å, 107.41 107.41 36.79°
Positions (direct):
Tb 0.0000 0.0000 0.0000
Sm 0.2221 0.2221 0.3312
Sm 0.4451 0.4451 0.6700
Sm 0.5549 0.5549 0.3300
Sm 0.7779 0.7779 0.6688
Y 0.1116 0.1116 0.6687
Y 0.8884 0.8884 0.3313
Tm 0.3326 0.3326 0.9997
Tm 0.6674 0.6674 0.0003

Peak list (8 most intense, 2θ = 10–80°, in order of falling intensity)
2.920 Å, I 100; 2.529 Å, I 50; 1.788 Å, I 36; 1.526 Å, I 28; 1.523 Å, I 14; 1.460 Å, I 12; 1.266 Å, I 4; 1.262 Å, I 2